Diffraction record for ThPIr2Ru. The X-ray diffraction stick pattern is calculated, not measured: it uses a DFT-relaxed cell (GGA-PBE, Alexandria) and Cu Kα (λ = 1.5418 Å).
Neutral-atom scattering factors, no anomalous dispersion.

Largest 12 diffraction maxima, by angle, 2θ from 10° to 90°:
2θ/deg  I (rel.)  index
23.39  10.6  0 1 1
33.55  10.4  0 1 3
33.67  22.0  1 0 3
33.79  13.3  0 0 4
35.57  100.0  1 1 2
44.47  18.9  0 2 0
44.84  18.5  2 0 0
48.39  21.3  0 1 5
56.95  16.3  0 2 4
65.00  12.3  2 2 0
76.08  11.3  1 3 2
76.61  11.1  3 1 2

a = 4.0424 Å, b = 4.0741 Å, c = 10.6114 Å
α = 90.00°, β = 90.00°, γ = 90.00°
Element x y z (fractional)
Th: 0.0000 0.0000 0.0000
Th: 0.5000 0.5000 0.5000
P: 0.0000 0.0000 0.3734
P: 0.5000 0.5000 0.8734
Ir: 0.0000 0.0000 0.5900
Ir: 0.0000 0.5000 0.2623
Ir: 0.5000 0.0000 0.7623
Ir: 0.5000 0.5000 0.0900
Ru: 0.0000 0.5000 0.7613
Ru: 0.5000 0.0000 0.2613

Diffraction record for Tm2ScSn3. The X-ray diffraction stick pattern is calculated, not measured: it uses a DFT-relaxed cell (GGA-PBE, Alexandria) and Cu Kα (λ = 1.5418 Å).
Neutral-atom scattering factors, no anomalous dispersion.

Largest 12 diffraction maxima, by angle, 2θ from 10° to 90°:
2θ/deg  I (rel.)  index
29.31  58.0  0 2 0
30.98  100.0  1 0 3
35.79  33.7  0 0 6
43.17  81.3  1 2 3
46.91  31.7  0 2 6
51.81  12.0  2 0 0
60.64  15.1  2 2 0
61.34  14.1  1 0 9
64.57  12.3  2 0 6
69.41  19.6  1 2 9
69.80  20.0  1 4 3
72.46  17.8  2 2 6

a = 3.5291 Å, b = 6.0944 Å, c = 15.0532 Å
α = 90.00°, β = 90.00°, γ = 90.00°
Element x y z (fractional)
Tm: 0.0000 0.0000 0.1688
Tm: 0.0000 0.0000 0.8312
Tm: 0.5000 0.5000 0.3312
Tm: 0.5000 0.5000 0.6688
Sc: 0.0000 0.0000 0.5000
Sc: 0.5000 0.5000 0.0000
Sn: 0.0000 0.5000 0.1613
Sn: 0.0000 0.5000 0.5000
Sn: 0.0000 0.5000 0.8387
Sn: 0.5000 0.0000 0.0000
Sn: 0.5000 0.0000 0.3387
Sn: 0.5000 0.0000 0.6613